1.
This entry pairs a crystal structure of PmHoTmMg with its theoretical X-ray powder pattern. Radiation: Cu Kα X-rays. Structure: a structure optimized by DFT (GGA-PBE).

Largest 12 diffraction maxima, in order of rising 2θ, 5° ≤ 2θ ≤ 70°:
hkl, d [Å], I_rel
0 0 1, 9.328, 20
1 0 1, 3.338, 17
0 0 3, 3.109, 6
1 0 2, 2.837, 100
1 1 0, 2.528, 37
0 0 4, 2.332, 14
1 1 3, 1.961, 7
2 0 0, 1.787, 13
1 1 4, 1.714, 21
2 1 2, 1.512, 30
1 0 6, 1.426, 10
2 0 4, 1.419, 11

Crystal structure
Cell lengths 3.575, 3.575, 9.328 Å; angles 90.00, 90.00, 90.00 degrees
Space group P4mm (No. 99)
Asymmetric unit:
Pm (0.000, 0.000, 0.000) [1 per cell]
Ho (0.500, 0.500, 0.730) [1 per cell]
Tm (0.000, 0.000, 0.473) [1 per cell]
Mg (0.500, 0.500, 0.244) [1 per cell]



2.
This entry pairs a crystal structure of PaTl3Br7 with its theoretical X-ray powder pattern. Radiation: Cu Kα X-rays. Structure: a structure optimized by DFT (GGA-PBE).

Largest 12 diffraction maxima, in order of rising 2θ, 5° ≤ 2θ ≤ 70°:
hkl, d [Å], I_rel
2 0 0, 4.675, 45
2 0 -2, 4.339, 49
0 2 1, 4.165, 100
4 0 -2, 2.872, 40
1 1 2, 2.751, 19
1 3 1, 2.726, 19
2 2 1, 2.692, 55
2 2 -3, 2.559, 28
0 4 0, 2.547, 27
4 2 -1, 2.414, 34
4 2 -3, 2.317, 24
3 3 -3, 2.202, 18

Crystal structure
Cell lengths 11.521, 10.189, 8.910 Å; angles 90.00, 125.75, 90.00 degrees
Space group Cm (No. 8)
Asymmetric unit:
Pa (0.000, 0.000, 0.000) [2 per cell]
Tl (0.443, 0.000, 0.868) [2 per cell]
Tl (0.443, 0.280, 0.445) [4 per cell]
Br (0.067, 0.260, 0.175) [4 per cell]
Br (0.150, 0.000, 0.838) [2 per cell]
Br (0.304, 0.000, 0.356) [2 per cell]
Br (0.305, 0.500, 0.098) [2 per cell]
Br (0.312, 0.323, 0.702) [4 per cell]



3.
This entry pairs a crystal structure of Ca3Zr3ReN8 with its theoretical X-ray powder pattern. Radiation: Cu Kα X-rays. Structure: a structure optimized by DFT (GGA-PBE).

Largest 12 diffraction maxima, in order of rising 2θ, 5° ≤ 2θ ≤ 70°:
hkl, d [Å], I_rel
0 0 3, 5.657, 90
1 0 1, 5.326, 35
0 0 6, 2.829, 30
0 2 1, 2.767, 36
2 0 2, 2.663, 72
0 2 4, 2.340, 100
2 0 5, 2.162, 15
0 2 7, 1.834, 16
2 0 8, 1.692, 33
2 2 0, 1.619, 30
2 2 3, 1.557, 16
2 2 6, 1.405, 22

Crystal structure
Cell lengths 6.4769, 6.4769, 16.9713 Å; angles 90.00, 90.00, 120.00 degrees
Space group R-3m (No. 166, hexagonal axes)
Asymmetric unit:
Ca (0.0000, 0.5000, 0.0000) [9 per cell]
Zr (0.0000, 0.5000, 0.5000) [9 per cell]
Re (0.0000, 0.0000, 0.5000) [3 per cell]
N (0.0000, 0.0000, 0.2395) [6 per cell]
N (0.0246, 0.5123, 0.2338) [18 per cell]



What did the third record say?
This entry pairs a crystal structure of Ca3Zr3ReN8 with its theoretical X-ray powder pattern. Radiation: Cu Kα X-rays. Structure: a structure optimized by DFT (GGA-PBE).

Largest 12 diffraction maxima, in order of rising 2θ, 5° ≤ 2θ ≤ 70°:
hkl, d [Å], I_rel
0 0 3, 5.657, 90
1 0 1, 5.326, 35
0 0 6, 2.829, 30
0 2 1, 2.767, 36
2 0 2, 2.663, 72
0 2 4, 2.340, 100
2 0 5, 2.162, 15
0 2 7, 1.834, 16
2 0 8, 1.692, 33
2 2 0, 1.619, 30
2 2 3, 1.557, 16
2 2 6, 1.405, 22

Crystal structure
Cell lengths 6.4769, 6.4769, 16.9713 Å; angles 90.00, 90.00, 120.00 degrees
Space group R-3m (No. 166, hexagonal axes)
Asymmetric unit:
Ca (0.0000, 0.5000, 0.0000) [9 per cell]
Zr (0.0000, 0.5000, 0.5000) [9 per cell]
Re (0.0000, 0.0000, 0.5000) [3 per cell]
N (0.0000, 0.0000, 0.2395) [6 per cell]
N (0.0246, 0.5123, 0.2338) [18 per cell]